This entry pairs a crystal structure of Mg13Ag3 with its computed XRD peak list. Radiation: Cu Kα. Structure: a structure optimized by DFT (GGA-PBE).

Structural model:
Lattice parameters (Å, degrees): 8.7005 6.2338 6.2338 85.85 90.00 90.00
Fractional coordinates of all 16 atoms:
Mg  0.0000  0.0000  0.0000
Mg  0.0000  0.0059  0.4934
Mg  0.0000  0.4934  0.0059
Mg  0.0000  0.4989  0.4989
Mg  0.2572  0.2383  0.7596
Mg  0.2572  0.7596  0.2383
Mg  0.2600  0.7459  0.7459
Mg  0.5000  0.0190  0.4610
Mg  0.5000  0.4610  0.0190
Mg  0.5000  0.4995  0.4995
Mg  0.7400  0.7459  0.7459
Mg  0.7428  0.2383  0.7596
Mg  0.7428  0.7596  0.2383
Ag  0.2418  0.2586  0.2586
Ag  0.5000  0.9752  0.9752
Ag  0.7582  0.2586  0.2586

Top 12 peaks for 2θ from 15° to 90°, by angle:
| two_theta | I_rel |
| --- | --- |
| 17.53 | 11 |
| 20.92 | 15 |
| 24.98 | 23 |
| 28.34 | 13 |
| 31.22 | 11 |
| 35.49 | 100 |
| 39.24 | 11 |
| 39.48 | 18 |
| 41.52 | 16 |
| 42.59 | 15 |
| 69.03 | 11 |
| 71.84 | 11 |